Entry 1:
Pa2ZnGa2: theoretical powder diffractogram (Cu Kα, 1.54184 Å), based on a DFT-relaxed cell (PBE, Alexandria).

Top 10 peaks for 2θ from 10° to 80°, most intense first:
two_theta  I (rel.)
35.6  100
37.6  85
20.2  52
39.0  45
38.8  39
56.2  31
73.1  24
49.1  22
25.5  19
71.0  17

Structure:
a = 4.642 Å, b = 13.962 Å, c = 3.076 Å
α = 90.00°, β = 90.00°, γ = 90.00°
Element x y z (fractional)
Pa (0.000, 0.104, 0.000)
Pa (0.000, 0.896, 0.000)
Pa (0.500, 0.396, 0.000)
Pa (0.500, 0.604, 0.000)
Zn (0.000, 0.500, 0.500)
Zn (0.500, 0.000, 0.500)
Ga (0.000, 0.299, 0.500)
Ga (0.000, 0.701, 0.500)
Ga (0.500, 0.201, 0.500)
Ga (0.500, 0.799, 0.500)

Entry 2:
Y4AlTc: theoretical powder diffractogram (Cu Kα, 1.54184 Å), based on a DFT-relaxed cell (PBE, Alexandria).

Top 10 peaks for 2θ from 10° to 80°, most intense first:
two_theta  I (rel.)
12.9  100
35.8  87
33.2  85
32.6  60
29.7  46
34.7  43
26.2  38
13.9  37
36.9  36
38.4  32

Structure:
a = 7.687 Å, b = 7.687 Å, c = 6.213 Å
α = 99.42°, β = 99.42°, γ = 112.41°
Element x y z (fractional)
Y (0.064, 0.722, 0.955)
Y (0.211, 0.368, 0.602)
Y (0.278, 0.936, 0.545)
Y (0.368, 0.211, 0.102)
Y (0.632, 0.789, 0.898)
Y (0.722, 0.064, 0.455)
Y (0.789, 0.632, 0.398)
Y (0.936, 0.278, 0.045)
Al (0.375, 0.625, 0.250)
Al (0.625, 0.375, 0.750)
Tc (0.001, 0.999, 0.750)
Tc (0.999, 0.001, 0.250)

Entry 3:
CaAg2Br2: theoretical powder diffractogram (Cu Kα, 1.54184 Å), based on a DFT-relaxed cell (PBE, Alexandria).

Top 10 peaks for 2θ from 10° to 80°, most intense first:
two_theta  I (rel.)
32.6  100
30.4  62
42.0  47
39.9  30
51.3  28
36.7  21
16.2  21
32.7  20
25.7  20
59.4  19

Structure:
a = 7.747 Å, b = 7.747 Å, c = 4.516 Å
α = 90.00°, β = 90.00°, γ = 90.00°
Element x y z (fractional)
Ca (0.000, 0.000, 0.000)
Ca (0.500, 0.500, 0.000)
Ag (0.119, 0.381, 0.000)
Ag (0.381, 0.881, 0.000)
Ag (0.619, 0.119, 0.000)
Ag (0.881, 0.619, 0.000)
Br (0.222, 0.722, 0.500)
Br (0.278, 0.222, 0.500)
Br (0.722, 0.778, 0.500)
Br (0.778, 0.278, 0.500)

Entry 4:
Na5B7C3: theoretical powder diffractogram (Cu Kα, 1.54184 Å), based on a DFT-relaxed cell (PBE, Alexandria).

Top 10 peaks for 2θ from 10° to 80°, most intense first:
two_theta  I (rel.)
42.3  100
40.7  49
41.9  39
63.5  18
79.0  17
36.6  16
76.8  13
34.7  12
56.8  9
67.0  8

Structure:
a = 5.165 Å, b = 7.447 Å, c = 9.114 Å
α = 92.58°, β = 106.45°, γ = 110.28°
Element x y z (fractional)
Na (0.000, 0.000, 0.000)
Na (0.098, 0.701, 0.501)
Na (0.204, 0.400, 0.001)
Na (0.299, 0.100, 0.499)
Na (0.400, 0.800, 0.999)
Na (0.500, 0.500, 0.500)
Na (0.600, 0.200, 0.001)
Na (0.701, 0.900, 0.501)
Na (0.796, 0.600, 0.999)
Na (0.902, 0.299, 0.499)
B (0.003, 0.457, 0.250)
B (0.096, 0.245, 0.250)
B (0.129, 0.149, 0.750)
B (0.196, 0.843, 0.250)
B (0.318, 0.651, 0.251)
B (0.331, 0.551, 0.750)
B (0.499, 0.944, 0.751)
B (0.501, 0.056, 0.249)
B (0.669, 0.449, 0.250)
B (0.682, 0.349, 0.749)
B (0.804, 0.157, 0.750)
B (0.871, 0.851, 0.250)
B (0.904, 0.755, 0.750)
B (0.997, 0.543, 0.750)
C (0.188, 0.947, 0.750)
C (0.389, 0.350, 0.750)
C (0.409, 0.246, 0.249)
C (0.591, 0.754, 0.751)
C (0.611, 0.650, 0.250)
C (0.812, 0.053, 0.250)